Entry 1:
Structure and computed powder diffractogram of LiFe2B (the GGA-PBE geometry in OQMD; λ = 1.5418 Å (Cu Kα)).
Neutral-atom scattering factors, no anomalous dispersion.

Atomic structure:
Cell: 5.3326 5.3326 5.3326 Å, 90.00 90.00 90.00°
Space group Pm-3m (No. 221)
Symmetry-distinct sites (fractional):
1 Li 0.0000 0.0000 0.0000 [1 per cell]
2 Li 0.0000 0.0000 0.5000 [3 per cell]
3 Fe 0.2735 0.2735 0.2735 [8 per cell]
4 B 0.0000 0.5000 0.5000 [3 per cell]
5 B 0.5000 0.5000 0.5000 [1 per cell]

Peak list (10 most intense, 2θ from 10° to 80°, in order of rising 2θ)
hkl	2θ/deg	I (rel.)
1 0 0	16.62	233
2 0 0	33.61	1000
2 1 0	37.72	68
2 2 0	48.27	987
3 0 0	51.41	100
2 2 2	60.11	183
3 2 0	62.83	138
4 0 0	70.66	119
3 2 2	73.18	80
3 3 0	75.66	8

***

Entry 2:
Structure and computed powder diffractogram of TlTcAgSe2S (the GGA-PBE geometry in OQMD; λ = 1.5418 Å (Cu Kα)).
Neutral-atom scattering factors, no anomalous dispersion.

Atomic structure:
Cell: 8.0584 3.6990 9.9453 Å, 90.00 110.46 90.00°
Space group P2_1/m (No. 11)
Symmetry-distinct sites (fractional):
1 Tl 0.2387 0.2500 0.2140 [2 per cell]
2 Tc 0.1704 0.7500 0.6408 [2 per cell]
3 Ag 0.4444 0.2500 0.8843 [2 per cell]
4 Se 0.2105 0.7500 0.9128 [2 per cell]
5 Se 0.3820 0.2500 0.6118 [2 per cell]
6 S 0.0414 0.7500 0.3811 [2 per cell]

Peak list (10 most intense, 2θ from 10° to 80°, in order of rising 2θ)
hkl	2θ/deg	I (rel.)
0 1 1	25.92	308
1 0 -3	26.95	357
1 1 -2	30.56	438
2 1 -1	32.90	1000
3 0 -1	33.48	331
2 1 0	33.93	402
1 0 3	34.87	491
1 1 -3	36.44	555
2 1 1	37.60	544
0 2 0	49.27	364

***

Entry 3:
Structure and computed powder diffractogram of CsZnBP2O8 (the GGA-PBE geometry in OQMD; λ = 1.5418 Å (Cu Kα)).
Neutral-atom scattering factors, no anomalous dispersion.

Atomic structure:
Cell: 7.4162 7.8121 7.9603 Å, 118.22 102.91 104.61°
Space group P-1 (No. 2)
Symmetry-distinct sites (fractional):
1 Cs 0.2380 0.3526 0.0962 [2 per cell]
2 Zn 0.2998 0.7043 0.7530 [2 per cell]
3 B 0.1964 0.9235 0.4268 [2 per cell]
4 P 0.0612 0.2270 0.4293 [2 per cell]
5 P 0.4588 0.8947 0.2250 [2 per cell]
6 O 0.0393 0.7485 0.4112 [2 per cell]
7 O 0.0830 0.7995 0.7613 [2 per cell]
8 O 0.0917 0.0161 0.3378 [2 per cell]
9 O 0.2631 0.4212 0.5409 [2 per cell]
10 O 0.2903 0.8140 0.2924 [2 per cell]
11 O 0.3384 0.0900 0.6422 [2 per cell]
12 O 0.4038 0.7102 0.0041 [2 per cell]
13 O 0.4777 0.1070 0.2565 [2 per cell]

Peak list (10 most intense, 2θ from 10° to 80°, in order of rising 2θ)
hkl	2θ/deg	I (rel.)
0 2 -1	23.63	341
1 1 -2	23.88	442
2 -1 0	24.81	1000
1 0 -2	25.51	341
1 -2 0	25.94	195
-2 1 1	27.00	226
1 -1 2	29.31	519
1 2 -1	30.34	292
2 -2 1	31.01	218
1 2 -3	35.87	279